Entry 1:
Calculated X-ray diffraction stick pattern
Compound: K5Ru2O6
Radiation: Cu Ka
Structure: a crystal structure in Alexandria, relaxed with GGA-PBE
Intensities are scaled so that the largest is 100.

Cell and atoms:
Lattice parameters (Å, degrees): 6.495 6.495 13.230 91.00 91.00 67.23
Atoms (fractional coordinates):
K  0.121  0.879  0.750
K  0.166  0.700  0.022
K  0.300  0.834  0.478
K  0.322  0.337  0.809
K  0.337  0.322  0.309
K  0.663  0.678  0.691
K  0.678  0.663  0.191
K  0.700  0.166  0.522
K  0.834  0.300  0.978
K  0.879  0.121  0.250
Ru  0.157  0.403  0.567
Ru  0.403  0.157  0.067
Ru  0.597  0.843  0.933
Ru  0.843  0.597  0.433
O  0.049  0.273  0.451
O  0.122  0.283  0.131
O  0.273  0.049  0.951
O  0.283  0.122  0.631
O  0.360  0.510  0.630
O  0.490  0.640  0.870
O  0.510  0.360  0.130
O  0.640  0.490  0.370
O  0.717  0.878  0.369
O  0.727  0.951  0.049
O  0.878  0.717  0.869
O  0.951  0.727  0.549

Largest 10 diffraction maxima, by angle, 2θ from 5° to 70°:
d [Å], I/Imax
6.614, 61
5.479, 100
5.413, 63
4.230, 23
3.145, 38
2.910, 73
2.795, 36
2.787, 34
2.625, 42
2.306, 33



Entry 2:
Calculated X-ray diffraction stick pattern
Compound: KRu2O7
Radiation: Cu Ka
Structure: a crystal structure in Alexandria, relaxed with GGA-PBE
Intensities are scaled so that the largest is 100.

Cell and atoms:
Lattice parameters (Å, degrees): 6.032 6.032 3.786 90.00 90.00 118.42
Atoms (fractional coordinates):
K  0.000  0.000  0.000
Ru  0.310  0.690  0.500
Ru  0.690  0.310  0.500
O  0.034  0.335  0.500
O  0.309  0.691  0.000
O  0.335  0.034  0.500
O  0.500  0.500  0.500
O  0.665  0.966  0.500
O  0.691  0.309  0.000
O  0.966  0.665  0.500

Largest 10 diffraction maxima, by angle, 2θ from 5° to 70°:
d [Å], I/Imax
5.182, 65
3.786, 75
3.085, 100
3.057, 52
3.015, 80
1.893, 27
1.768, 29
1.744, 33
1.603, 37
1.363, 26



Entry 3:
Calculated X-ray diffraction stick pattern
Compound: K5RuO4
Radiation: Cu Ka
Structure: a crystal structure in Alexandria, relaxed with GGA-PBE
Intensities are scaled so that the largest is 100.

Cell and atoms:
Lattice parameters (Å, degrees): 8.955 8.955 4.757 90.00 90.00 90.00
Atoms (fractional coordinates):
K  0.067  0.067  0.242
K  0.067  0.433  0.242
K  0.250  0.750  0.500
K  0.433  0.067  0.242
K  0.433  0.433  0.242
K  0.567  0.567  0.758
K  0.567  0.933  0.758
K  0.750  0.250  0.500
K  0.933  0.567  0.758
K  0.933  0.933  0.758
Ru  0.250  0.250  0.733
Ru  0.750  0.750  0.267
O  0.027  0.250  0.725
O  0.250  0.027  0.725
O  0.250  0.473  0.725
O  0.473  0.250  0.725
O  0.527  0.750  0.275
O  0.750  0.527  0.275
O  0.750  0.973  0.275
O  0.973  0.750  0.275

Largest 10 diffraction maxima, by angle, 2θ from 5° to 70°:
d [Å], I/Imax
6.332, 69
4.201, 29
3.166, 29
3.064, 67
2.528, 100
2.378, 22
2.227, 29
1.976, 24
1.579, 19
1.570, 20



Entry 4:
Calculated X-ray diffraction stick pattern
Compound: K3RuO4
Radiation: Cu Ka
Structure: a crystal structure in Alexandria, relaxed with GGA-PBE
Intensities are scaled so that the largest is 100.

Cell and atoms:
Lattice parameters (Å, degrees): 8.427 6.719 6.117 90.00 90.00 90.00
Atoms (fractional coordinates):
K  0.000  0.126  0.000
K  0.239  0.330  0.478
K  0.261  0.670  0.978
K  0.500  0.874  0.500
K  0.739  0.670  0.978
K  0.761  0.330  0.478
Ru  0.000  0.820  0.464
Ru  0.500  0.180  0.964
O  0.000  0.083  0.555
O  0.000  0.754  0.170
O  0.197  0.723  0.547
O  0.303  0.277  0.047
O  0.500  0.246  0.670
O  0.500  0.917  0.055
O  0.697  0.277  0.047
O  0.803  0.723  0.547

Largest 10 diffraction maxima, by angle, 2θ from 5° to 70°:
d [Å], I/Imax
5.253, 46
4.950, 52
3.569, 52
3.359, 29
3.083, 100
3.059, 59
2.945, 48
1.977, 30
1.771, 28
1.661, 26



Entry 5:
Calculated X-ray diffraction stick pattern
Compound: K3RuO6
Radiation: Cu Ka
Structure: a crystal structure in Alexandria, relaxed with GGA-PBE
Intensities are scaled so that the largest is 100.

Cell and atoms:
Lattice parameters (Å, degrees): 6.315 6.315 6.315 60.00 60.00 60.00
Atoms (fractional coordinates):
K  0.000  0.000  0.000
K  0.250  0.250  0.250
K  0.750  0.750  0.750
Ru  0.500  0.500  0.500
O  0.291  0.291  0.709
O  0.291  0.709  0.291
O  0.291  0.709  0.709
O  0.709  0.291  0.291
O  0.709  0.291  0.709
O  0.709  0.709  0.291

Largest 10 diffraction maxima, by angle, 2θ from 5° to 70°:
d [Å], I/Imax
5.156, 44
4.465, 31
3.157, 100
2.693, 10
2.233, 42
1.997, 9
1.823, 33
1.719, 9
1.579, 22
1.412, 19



Entry 6:
Calculated X-ray diffraction stick pattern
Compound: K3RuO3
Radiation: Cu Ka
Structure: a crystal structure in Alexandria, relaxed with GGA-PBE
Intensities are scaled so that the largest is 100.

Cell and atoms:
Lattice parameters (Å, degrees): 7.272 7.272 5.585 90.00 90.00 100.54
Atoms (fractional coordinates):
K  0.108  0.892  0.750
K  0.177  0.409  0.750
K  0.409  0.177  0.250
K  0.591  0.823  0.750
K  0.823  0.591  0.250
K  0.892  0.108  0.250
Ru  0.302  0.698  0.250
Ru  0.698  0.302  0.750
O  0.133  0.867  0.250
O  0.186  0.452  0.250
O  0.452  0.186  0.750
O  0.548  0.814  0.250
O  0.814  0.548  0.750
O  0.867  0.133  0.750

Largest 10 diffraction maxima, by angle, 2θ from 5° to 70°:
d [Å], I/Imax
5.593, 27
4.401, 88
3.575, 26
3.011, 91
2.942, 41
2.793, 100
2.633, 35
2.174, 28
1.814, 25
1.521, 27



Entry 7:
Calculated X-ray diffraction stick pattern
Compound: KRuS2O8
Radiation: Cu Ka
Structure: a crystal structure in Alexandria, relaxed with GGA-PBE
Intensities are scaled so that the largest is 100.

Cell and atoms:
Lattice parameters (Å, degrees): 4.832 4.832 8.373 90.00 90.00 120.00
Atoms (fractional coordinates):
K  0.000  0.000  0.000
Ru  0.000  0.000  0.500
S  0.333  0.667  0.709
S  0.667  0.333  0.291
O  0.052  0.361  0.650
O  0.309  0.948  0.650
O  0.333  0.667  0.884
O  0.361  0.309  0.350
O  0.639  0.691  0.650
O  0.667  0.333  0.116
O  0.691  0.052  0.350
O  0.948  0.639  0.350

Largest 10 diffraction maxima, by angle, 2θ from 5° to 70°:
d [Å], I/Imax
8.373, 90
4.185, 37
3.743, 80
2.960, 100
2.416, 36
2.322, 19
2.093, 25
1.872, 46
1.582, 22
1.480, 29



Entry 8:
Calculated X-ray diffraction stick pattern
Compound: KSbRu2O8
Radiation: Cu Ka
Structure: a crystal structure in Alexandria, relaxed with GGA-PBE
Intensities are scaled so that the largest is 100.

Cell and atoms:
Lattice parameters (Å, degrees): 5.119 5.119 7.344 105.01 105.01 73.42
Atoms (fractional coordinates):
K  0.000  0.000  0.000
Sb  0.000  0.000  0.500
Ru  0.453  0.453  0.772
Ru  0.547  0.547  0.228
O  0.198  0.720  0.281
O  0.253  0.253  0.543
O  0.280  0.802  0.719
O  0.345  0.345  0.952
O  0.655  0.655  0.048
O  0.720  0.198  0.281
O  0.747  0.747  0.457
O  0.802  0.280  0.719

Largest 10 diffraction maxima, by angle, 2θ from 5° to 70°:
d [Å], I/Imax
4.385, 92
3.884, 100
3.129, 95
3.060, 61
2.582, 66
2.495, 25
2.404, 24
2.314, 29
1.739, 36
1.658, 20



Entry 9:
Calculated X-ray diffraction stick pattern
Compound: K2RuSeO6
Radiation: Cu Ka
Structure: a crystal structure in Alexandria, relaxed with GGA-PBE
Intensities are scaled so that the largest is 100.

Cell and atoms:
Lattice parameters (Å, degrees): 5.642 5.642 5.636 119.87 119.87 90.25
Atoms (fractional coordinates):
K  0.250  0.750  0.000
K  0.750  0.250  0.000
Ru  0.000  0.000  0.500
Se  0.500  0.500  0.500
O  0.245  0.755  0.500
O  0.246  0.246  0.992
O  0.248  0.248  0.498
O  0.752  0.752  0.502
O  0.754  0.754  0.008
O  0.755  0.245  0.500

Largest 10 diffraction maxima, by angle, 2θ from 5° to 70°:
d [Å], I/Imax
3.990, 42
2.822, 100
1.998, 28
1.990, 14
1.786, 10
1.782, 7
1.630, 25
1.627, 12
1.412, 8
1.410, 16



Entry 10:
Calculated X-ray diffraction stick pattern
Compound: K2Sr3RuO6
Radiation: Cu Ka
Structure: a crystal structure in Alexandria, relaxed with GGA-PBE
Intensities are scaled so that the largest is 100.

Cell and atoms:
Lattice parameters (Å, degrees): 6.393 6.393 5.928 101.84 101.84 118.31
Atoms (fractional coordinates):
K  0.168  0.832  0.000
K  0.832  0.168  0.000
Sr  0.000  0.000  0.500
Sr  0.332  0.668  0.500
Sr  0.668  0.332  0.500
Ru  0.500  0.500  0.000
O  0.140  0.423  0.751
O  0.323  0.323  0.208
O  0.423  0.140  0.751
O  0.577  0.860  0.249
O  0.677  0.677  0.792
O  0.860  0.577  0.249

Largest 10 diffraction maxima, by angle, 2θ from 5° to 70°:
d [Å], I/Imax
5.270, 17
3.004, 38
2.991, 75
2.716, 27
2.597, 51
2.494, 100
1.875, 34
1.830, 17
1.731, 29
1.496, 15



Entry 11:
Calculated X-ray diffraction stick pattern
Compound: KTbRuO6
Radiation: Cu Ka
Structure: a crystal structure in Alexandria, relaxed with GGA-PBE
Intensities are scaled so that the largest is 100.

Cell and atoms:
Lattice parameters (Å, degrees): 5.629 5.629 5.789 90.00 90.00 120.00
Atoms (fractional coordinates):
K  0.000  0.000  0.000
Tb  0.333  0.667  0.500
Ru  0.667  0.333  0.500
O  0.406  0.049  0.688
O  0.406  0.357  0.312
O  0.643  0.049  0.312
O  0.643  0.594  0.688
O  0.951  0.357  0.688
O  0.951  0.594  0.312

Largest 10 diffraction maxima, by angle, 2θ from 5° to 70°:
d [Å], I/Imax
5.789, 95
4.875, 34
3.729, 100
2.814, 48
2.531, 49
2.246, 21
2.018, 59
1.756, 23
1.625, 16
1.591, 17



Entry 12:
Calculated X-ray diffraction stick pattern
Compound: KTc2RuO8
Radiation: Cu Ka
Structure: a crystal structure in Alexandria, relaxed with GGA-PBE
Intensities are scaled so that the largest is 100.

Cell and atoms:
Lattice parameters (Å, degrees): 5.488 5.488 7.696 90.00 90.00 120.00
Atoms (fractional coordinates):
K  0.000  0.000  0.000
Tc  0.333  0.667  0.730
Tc  0.667  0.333  0.270
Ru  0.000  0.000  0.500
O  0.071  0.323  0.656
O  0.252  0.929  0.656
O  0.323  0.252  0.344
O  0.333  0.667  0.957
O  0.667  0.333  0.043
O  0.677  0.748  0.656
O  0.748  0.071  0.344
O  0.929  0.677  0.344

Largest 10 diffraction maxima, by angle, 2θ from 5° to 70°:
d [Å], I/Imax
7.696, 21
4.044, 100
2.991, 52
2.744, 46
2.258, 13
2.022, 19
1.749, 17
1.628, 17
1.584, 12
1.575, 18



Entry 13:
Calculated X-ray diffraction stick pattern
Compound: K2Tl3RuO6
Radiation: Cu Ka
Structure: a crystal structure in Alexandria, relaxed with GGA-PBE
Intensities are scaled so that the largest is 100.

Cell and atoms:
Lattice parameters (Å, degrees): 6.558 6.558 6.087 98.52 98.52 121.75
Atoms (fractional coordinates):
K  0.170  0.830  0.000
K  0.830  0.170  0.000
Tl  0.000  0.000  0.500
Tl  0.349  0.651  0.500
Tl  0.651  0.349  0.500
Ru  0.500  0.500  0.000
O  0.198  0.434  0.809
O  0.318  0.318  0.219
O  0.434  0.198  0.809
O  0.566  0.802  0.191
O  0.682  0.682  0.781
O  0.802  0.566  0.191

Largest 10 diffraction maxima, by angle, 2θ from 5° to 70°:
d [Å], I/Imax
5.798, 42
3.234, 25
3.041, 100
2.899, 30
2.648, 64
2.515, 30
1.857, 21
1.791, 24
1.594, 24
1.520, 15